For Ca6Ag16N, DFT lattice parameters and positions (PBE) gives the computed powder XRD pattern in this record (Cu Kα X-rays).
Lines closer than 0.1° are merged.

Structure:
Lattice parameters (Å, degrees): 9.9135 9.9135 9.9135 90.00 90.00 90.00
Space group Im-3m (No. 229)
Inequivalent atoms, fractional coordinates:
Ca 0.0000 0.0000 0.2549 [12 per cell]
Ag 0.0000 0.3470 0.3470 [24 per cell]
Ag 0.2500 0.2500 0.2500 [8 per cell]
N 0.0000 0.0000 0.0000 [2 per cell]

Most intense lines, 2θ from 5° to 70°, low angle first:
(1 1 0), 12.6 deg, I 39; (2 1 1), 22.0 deg, I 19; (2 2 2), 31.3 deg, I 12; (3 2 1), 33.8 deg, I 29; (3 3 0), 38.5 deg, I 100; (4 2 0), 40.7 deg, I 33; (4 2 2), 44.8 deg, I 21; (4 3 1), 46.7 deg, I 8; (6 1 1), 57.3 deg, I 6; (6 2 2), 62.1 deg, I 13; (4 4 4), 65.2 deg, I 10; (6 3 3), 69.7 deg, I 19